YTmSn2: computed powder diffraction line list (Cu Kα), based on a crystal structure in Alexandria, relaxed with GGA-PBE.

The 12 most intense peaks (2θ = 10–90°), by intensity:
d [Å]	I_rel	h k l
2.679	100.0	1 1 2
2.381	86.4	1 2 1
2.981	80.7	1 0 2
2.867	60.3	0 2 1
2.138	37.5	2 0 0
2.524	32.6	0 1 3
3.228	32.4	1 1 1
1.968	31.3	0 1 4
1.714	26.5	2 2 1
1.448	23.5	2 1 4
1.317	21.4	1 0 6
1.631	17.4	2 1 3

Crystal structure
Lattice parameters (Å, degrees): 4.277 6.108 8.313 90.00 90.00 90.00
Element x y z (fractional)
1 Y 0.000 0.125 0.000
2 Y 0.000 0.875 0.500
3 Tm 0.500 0.376 0.635
4 Tm 0.500 0.624 0.135
5 Sn 0.000 0.409 0.362
6 Sn 0.000 0.591 0.862
7 Sn 0.500 0.089 0.273
8 Sn 0.500 0.911 0.773